Record 1
Calculated powder diffraction line list
Compound: PrEr2SiN4
Radiation: Cu Kα
Structure: a DFT-relaxed cell (GGA-PBE, Alexandria)
No peak broadening, texture or thermal motion is included.

Structural model:
```
data_PrEr2SiN4
_chemical_formula_sum 'Pr4 Er8 Si4 N16'
_cell_length_a 3.367
_cell_length_b 11.605
_cell_length_c 11.425
_cell_angle_alpha 90.00
_cell_angle_beta 90.00
_cell_angle_gamma 90.00
_symmetry_space_group_name_H-M 'C m c m'
_symmetry_Int_Tables_number 63
_symmetry_space_group_name_Hall '-C 2c 2'
loop_
_atom_site_label
_atom_site_type_symbol
_atom_site_fract_x
_atom_site_fract_y
_atom_site_fract_z
Pr1 Pr 0.000 0.086 0.250
Er1 Er 0.000 0.369 0.041
Si1 Si 0.000 0.178 0.750
N1 N 0.000 0.000 0.000
N2 N 0.000 0.263 0.627
N3 N 0.000 0.403 0.250
```

The 6 most intense peaks (2θ = 10–80°), by angle:
2θ (°)	I (rel.)
28.03	67
30.82	38
31.32	29
31.80	100
36.24	37
38.81	42

***

Record 2
Calculated powder diffraction line list
Compound: CaMnZn17
Radiation: Cu Kα
Structure: a DFT-relaxed cell (GGA-PBE, Alexandria)
No peak broadening, texture or thermal motion is included.

Structural model:
```
data_CaMnZn17
_chemical_formula_sum 'Ca3 Mn3 Zn51'
_cell_length_a 8.9276
_cell_length_b 8.9276
_cell_length_c 13.1700
_cell_angle_alpha 90.00
_cell_angle_beta 90.00
_cell_angle_gamma 120.00
_symmetry_space_group_name_H-M 'R 3 m'
_symmetry_Int_Tables_number 160
_symmetry_space_group_name_Hall 'R 3 -2"'
loop_
_atom_site_label
_atom_site_type_symbol
_atom_site_fract_x
_atom_site_fract_y
_atom_site_fract_z
Ca1 Ca 0.0000 0.0000 0.0000
Mn1 Mn 0.0000 0.0000 0.6555
Zn1 Zn 0.0000 0.0000 0.2436
Zn2 Zn 0.0000 0.0000 0.4432
Zn3 Zn 0.0065 0.3052 0.3366
Zn4 Zn 0.0114 0.5057 0.1904
Zn5 Zn 0.0189 0.5094 0.8317
Zn6 Zn 0.0319 0.5159 0.4876
```

The 6 most intense peaks (2θ = 10–80°), by angle:
2θ (°)	I (rel.)
34.81	32
40.41	50
40.59	100
41.12	33
41.48	28
45.60	83

***

Record 3
Calculated powder diffraction line list
Compound: Pr6Sm8Ho
Radiation: Cu Kα
Structure: a DFT-relaxed cell (GGA-PBE, Alexandria)
No peak broadening, texture or thermal motion is included.

Structural model:
```
data_Pr6Sm8Ho
_chemical_formula_sum 'Pr18 Sm24 Ho3'
_cell_length_a 9.2829
_cell_length_b 9.2829
_cell_length_c 21.1147
_cell_angle_alpha 90.00
_cell_angle_beta 90.00
_cell_angle_gamma 120.00
_symmetry_space_group_name_H-M 'R -3'
_symmetry_Int_Tables_number 148
_symmetry_space_group_name_Hall '-R 3'
loop_
_atom_site_label
_atom_site_type_symbol
_atom_site_fract_x
_atom_site_fract_y
_atom_site_fract_z
Pr1 Pr 0.0555 0.2477 0.2090
Sm1 Sm 0.0000 0.0000 0.0773
Sm2 Sm 0.0807 0.5574 0.3064
Ho1 Ho 0.0000 0.0000 0.5000
```

The 6 most intense peaks (2θ = 10–80°), by angle:
2θ (°)	I (rel.)
29.70	23
30.65	100
31.68	30
34.04	11
35.86	15
53.85	12

***

Record 4
Calculated powder diffraction line list
Compound: B4Ir4Pd
Radiation: Cu Kα
Structure: a DFT-relaxed cell (GGA-PBE, Alexandria)
No peak broadening, texture or thermal motion is included.

Structural model:
```
data_B4Ir4Pd
_chemical_formula_sum 'B4 Ir4 Pd1'
_cell_length_a 3.995
_cell_length_b 5.634
_cell_length_c 5.676
_cell_angle_alpha 94.41
_cell_angle_beta 104.68
_cell_angle_gamma 106.35
_symmetry_space_group_name_H-M 'P -1'
_symmetry_Int_Tables_number 2
loop_
_symmetry_equiv_pos_as_xyz
'x,y,z'
'-x,-y,-z'
loop_
_atom_site_label
_atom_site_type_symbol
_atom_site_fract_x
_atom_site_fract_y
_atom_site_fract_z
B1 B 0.057 0.388 0.403
B2 B 0.282 0.904 0.197
Ir1 Ir 0.163 0.950 0.824
Ir2 Ir 0.461 0.743 0.500
Pd1 Pd 0.000 0.500 0.000
```

The 6 most intense peaks (2θ = 10–80°), by angle:
2θ (°)	I (rel.)
16.61	33
33.17	76
35.04	100
37.97	49
48.00	28
50.02	24